Entry 1:
Theoretical powder X-ray diffraction pattern of Nb2Co3O9 for Cu Kα, 1.54184 Å, from the GGA+U geometry in the Materials Project.

Crystal structure
a = 5.1271 Å, b = 5.1271 Å, c = 14.3295 Å
α = 90.00°, β = 90.00°, γ = 120.00°
Space group P3c1 (No. 158)
Asymmetric unit:
Nb 0.0000 0.0000 0.0000 x2
Nb 0.0000 0.0000 0.2136 x2
Co 0.3333 0.6667 0.3602 x2
Co 0.6667 0.3333 0.0338 x2
Co 0.6667 0.3333 0.3396 x2
O 0.0103 0.3244 0.2801 x6
O 0.3190 0.0721 0.6000 x6
O 0.3678 0.0296 0.9450 x6

Most intense lines, 15 to 90 degrees two-theta, low angle first:
2θ = 20.0°, I = 50, (1 0 0); 2θ = 23.6°, I = 54, (0 1 2); 2θ = 32.1°, I = 100, (1 0 4); 2θ = 35.0°, I = 72, (1 1 0); 2θ = 39.9°, I = 13, (1 1 3); 2θ = 48.2°, I = 41, (0 2 4); 2θ = 52.4°, I = 55, (1 1 6); 2θ = 61.0°, I = 33, (2 1 4); 2θ = 62.8°, I = 28, (3 0 0); 2θ = 68.8°, I = 13, (1 0 10)

Entry 2:
Theoretical powder X-ray diffraction pattern of Nb2CoO6 for Cu Kα, 1.54184 Å, from the GGA+U geometry in the Materials Project.

Crystal structure
a = 4.829 Å, b = 4.829 Å, c = 9.211 Å
α = 90.00°, β = 90.00°, γ = 90.00°
Space group P4_2/mnm (No. 136)
Asymmetric unit:
Nb 0.000 0.000 0.169 x4
Co 0.000 0.000 0.500 x2
O 0.190 0.190 0.000 x4
O 0.204 0.204 0.325 x8

Most intense lines, 15 to 90 degrees two-theta, low angle first:
2θ = 26.1°, I = 100, (1 1 0); 2θ = 34.6°, I = 66, (1 0 3); 2θ = 37.2°, I = 17, (2 0 0); 2θ = 51.7°, I = 62, (2 1 3); 2θ = 53.7°, I = 18, (2 2 0); 2θ = 60.6°, I = 14, (3 1 0); 2θ = 65.5°, I = 20, (3 0 3); 2θ = 66.8°, I = 13, (1 1 6); 2θ = 77.8°, I = 10, (3 2 3); 2θ = 89.6°, I = 10, (4 1 3)

Entry 3:
Theoretical powder X-ray diffraction pattern of Nb3CoP6O24 for Cu Kα, 1.54184 Å, from the GGA+U geometry in the Materials Project.

Crystal structure
a = 8.7065 Å, b = 8.7065 Å, c = 22.0861 Å
α = 90.00°, β = 90.00°, γ = 120.00°
Space group R3 (No. 146, hexagonal axes)
Asymmetric unit:
Nb 0.0000 0.0000 0.0000 x3
Nb 0.0000 0.0000 0.2183 x3
Nb 0.0000 0.0000 0.7197 x3
Co 0.0000 0.0000 0.5026 x3
P 0.0019 0.2773 0.6059 x9
P 0.0129 0.7165 0.1100 x9
O 0.0266 0.8268 0.7683 x9
O 0.0273 0.8281 0.0531 x9
O 0.0307 0.2017 0.2675 x9
O 0.0336 0.2007 0.5491 x9
O 0.1603 0.6913 0.8319 x9
O 0.1632 0.4666 0.6158 x9
O 0.1641 0.4716 0.3308 x9
O 0.1747 0.6970 0.1151 x9

Most intense lines, 15 to 90 degrees two-theta, low angle first:
2θ = 19.9°, I = 100, (1 0 4); 2θ = 20.4°, I = 65, (1 1 0); 2θ = 23.7°, I = 78, (1 1 3); 2θ = 28.7°, I = 66, (0 2 4); 2θ = 31.8°, I = 41, (2 -1 6); 2θ = 35.4°, I = 26, (3 -1 4); 2θ = 35.7°, I = 24, (3 0 0); 2θ = 45.8°, I = 19, (3 -2 8); 2θ = 52.4°, I = 24, (2 1 10); 2θ = 55.9°, I = 20, (4 1 0)

Entry 4:
Theoretical powder X-ray diffraction pattern of NbCo3P4O16 for Cu Kα, 1.54184 Å, from the GGA+U geometry in the Materials Project.

Crystal structure
a = 4.965 Å, b = 6.001 Å, c = 9.994 Å
α = 90.00°, β = 90.76°, γ = 90.00°
Space group Pm (No. 6)
Asymmetric unit:
Nb 0.000 0.000 0.000 x1
Co 0.429 0.000 0.510 x1
Co 0.511 0.500 0.055 x1
Co 0.943 0.500 0.544 x1
P 0.037 0.500 0.869 x1
P 0.375 0.500 0.380 x1
P 0.581 0.000 0.187 x1
P 0.893 0.000 0.671 x1
O 0.123 0.500 0.725 x1
O 0.178 0.295 0.949 x2
O 0.196 0.000 0.672 x1
O 0.230 0.299 0.449 x2
O 0.280 0.000 0.145 x1
O 0.332 0.500 0.228 x1
O 0.630 0.000 0.333 x1
O 0.685 0.500 0.407 x1
O 0.728 0.196 0.108 x2
O 0.739 0.500 0.895 x1
O 0.747 0.205 0.612 x2
O 0.824 0.000 0.832 x1

Most intense lines, 15 to 90 degrees two-theta, low angle first:
2θ = 17.8°, I = 100, (0 0 2); 2θ = 19.9°, I = 43, (1 0 -1); 2θ = 20.1°, I = 52, (1 0 1); 2θ = 24.8°, I = 57, (1 1 -1); 2θ = 25.0°, I = 73, (1 1 1); 2θ = 29.8°, I = 87, (0 2 0); 2θ = 35.6°, I = 63, (1 1 -3); 2θ = 35.9°, I = 57, (1 1 3); 2θ = 47.5°, I = 27, (2 2 0); 2θ = 51.3°, I = 27, (2 2 2)

Entry 5:
Theoretical powder X-ray diffraction pattern of Sr2NbCoO6 for Cu Kα, 1.54184 Å, from the GGA+U geometry in the Materials Project.

Crystal structure
a = 9.711 Å, b = 5.723 Å, c = 9.725 Å
α = 90.00°, β = 107.87°, γ = 90.00°
Space group C2/m (No. 12)
Asymmetric unit:
Sr 0.125 0.000 0.375 x4
Sr 0.125 0.500 0.876 x4
Nb 0.250 0.000 0.750 x4
Co 0.000 0.000 0.000 x2
Co 0.000 0.500 0.500 x2
O 0.121 0.500 0.378 x4
O 0.122 0.000 0.879 x4
O 0.126 0.247 0.627 x8
O 0.127 0.253 0.126 x8

Most intense lines, 15 to 90 degrees two-theta, low angle first:
2θ = 31.3°, I = 52, (2 0 2); 2θ = 31.8°, I = 100, (3 1 -1); 2θ = 44.8°, I = 38, (2 2 2); 2θ = 46.2°, I = 17, (4 0 -4); 2θ = 56.0°, I = 40, (5 1 1); 2θ = 56.9°, I = 19, (6 0 -2); 2θ = 65.2°, I = 11, (4 0 4); 2θ = 66.3°, I = 21, (6 2 -2); 2θ = 74.1°, I = 9, (4 2 4); 2θ = 74.4°, I = 9, (5 3 1)